# 1
Structure and theoretical X-ray powder pattern of LiMn2B2O6 (a PBE+U-relaxed structure; a wavelength of 1.5418 Å).
Intensities are scaled so that the largest is 100.

Most intense lines, 15 to 90 degrees two-theta, low angle first:
| two_theta | I/Imax | index |
| --- | --- | --- |
| 19.93 | 100 | 0 0 4 |
| 20.06 | 28 | 1 0 2 |
| 20.68 | 28 | 1 1 -1 |
| 21.87 | 59 | 1 0 -2 |
| 22.69 | 82 | 1 1 3 |
| 33.82 | 41 | 1 0 6 |
| 34.85 | 80 | 0 2 2 |
| 37.15 | 30 | 1 0 -6 |
| 40.78 | 33 | 2 0 4 |
| 62.29 | 25 | 2 -2 2 |

Cell and atoms:
Cell: 5.300 5.803 18.014 Å, 83.86 82.20 65.86°
Fractional positions:
Li (0.175, 0.475, 0.359)
Li (0.320, 0.279, 0.890)
Li (0.680, 0.721, 0.110)
Li (0.825, 0.525, 0.641)
Mn (0.214, 0.727, 0.027)
Mn (0.216, 0.217, 0.530)
Mn (0.283, 0.034, 0.220)
Mn (0.285, 0.519, 0.723)
Mn (0.715, 0.481, 0.277)
Mn (0.717, 0.966, 0.780)
Mn (0.784, 0.783, 0.470)
Mn (0.786, 0.273, 0.973)
B (0.199, 0.062, 0.694)
B (0.205, 0.562, 0.190)
B (0.300, 0.680, 0.562)
B (0.307, 0.185, 0.054)
B (0.693, 0.815, 0.946)
B (0.700, 0.320, 0.438)
B (0.795, 0.438, 0.810)
B (0.801, 0.938, 0.306)
O (0.050, 0.159, 0.634)
O (0.056, 0.632, 0.130)
O (0.086, 0.606, 0.552)
O (0.110, 0.100, 0.039)
O (0.128, 0.424, 0.253)
O (0.152, 0.877, 0.744)
O (0.358, 0.357, 0.997)
O (0.370, 0.840, 0.508)
O (0.387, 0.155, 0.713)
O (0.427, 0.628, 0.196)
O (0.450, 0.593, 0.623)
O (0.456, 0.091, 0.113)
O (0.544, 0.909, 0.887)
O (0.550, 0.407, 0.377)
O (0.573, 0.372, 0.804)
O (0.613, 0.845, 0.287)
O (0.630, 0.160, 0.492)
O (0.642, 0.643, 0.003)
O (0.848, 0.123, 0.256)
O (0.872, 0.576, 0.747)
O (0.890, 0.900, 0.961)
O (0.914, 0.394, 0.448)
O (0.944, 0.368, 0.870)
O (0.950, 0.841, 0.366)

---

# 2
Structure and theoretical X-ray powder pattern of LiMn2B2O6 (a PBE+U-relaxed structure; a wavelength of 1.5418 Å).
Intensities are scaled so that the largest is 100.

Most intense lines, 15 to 90 degrees two-theta, low angle first:
| two_theta | I/Imax | index |
| --- | --- | --- |
| 20.16 | 100 | 0 2 1 |
| 20.70 | 29 | 1 -1 1 |
| 21.94 | 62 | -1 1 1 |
| 23.01 | 99 | 1 1 2 |
| 34.00 | 42 | 1 3 1 |
| 35.21 | 84 | 0 0 4 |
| 37.53 | 29 | -1 3 2 |
| 39.49 | 31 | 2 -2 0 |
| 40.68 | 37 | 2 2 0 |
| 52.57 | 27 | 1 1 6 |

Cell and atoms:
Cell: 5.301 9.110 10.556 Å, 79.79 79.06 89.90°
Fractional positions:
Li (0.009, 0.383, 0.168)
Li (0.260, 0.135, 0.666)
Li (0.740, 0.865, 0.334)
Li (0.991, 0.617, 0.832)
Mn (0.027, 0.745, 0.126)
Mn (0.228, 0.013, 0.372)
Mn (0.276, 0.497, 0.623)
Mn (0.476, 0.760, 0.876)
Mn (0.524, 0.240, 0.124)
Mn (0.724, 0.503, 0.377)
Mn (0.772, 0.987, 0.628)
Mn (0.973, 0.255, 0.874)
B (0.008, 0.072, 0.130)
B (0.237, 0.687, 0.375)
B (0.259, 0.822, 0.631)
B (0.487, 0.436, 0.875)
B (0.513, 0.564, 0.125)
B (0.741, 0.178, 0.369)
B (0.763, 0.313, 0.625)
B (0.992, 0.928, 0.870)
O (0.001, 0.689, 0.333)
O (0.082, 0.787, 0.920)
O (0.113, 0.696, 0.645)
O (0.135, 0.054, 0.854)
O (0.176, 0.964, 0.577)
O (0.237, 0.076, 0.175)
O (0.253, 0.442, 0.829)
O (0.331, 0.549, 0.425)
O (0.363, 0.440, 0.137)
O (0.384, 0.812, 0.365)
O (0.428, 0.703, 0.072)
O (0.483, 0.822, 0.681)
O (0.517, 0.178, 0.319)
O (0.572, 0.297, 0.928)
O (0.616, 0.188, 0.635)
O (0.637, 0.560, 0.863)
O (0.669, 0.451, 0.575)
O (0.747, 0.558, 0.171)
O (0.763, 0.924, 0.825)
O (0.824, 0.036, 0.423)
O (0.865, 0.946, 0.146)
O (0.887, 0.304, 0.355)
O (0.918, 0.213, 0.080)
O (0.999, 0.311, 0.667)

---

# 3
Structure and theoretical X-ray powder pattern of LiMn2B2O6 (a PBE+U-relaxed structure; a wavelength of 1.5418 Å).
Intensities are scaled so that the largest is 100.

Most intense lines, 15 to 90 degrees two-theta, low angle first:
| two_theta | I/Imax | index |
| --- | --- | --- |
| 20.07 | 100 | 0 0 2 |
| 20.78 | 23 | -1 1 1 |
| 21.96 | 49 | 0 2 2 |
| 22.82 | 65 | 1 -1 1 |
| 33.92 | 32 | 0 2 -2 |
| 33.98 | 20 | -1 3 1 |
| 34.88 | 65 | 2 2 2 |
| 37.44 | 23 | 0 2 4 |
| 39.67 | 23 | -1 3 3 |
| 40.75 | 30 | 0 4 0 |

Cell and atoms:
Cell: 5.791 9.795 9.806 Å, 65.29 80.14 81.01°
Fractional positions:
Li (0.000, 0.000, 0.000)
Li (0.003, 0.493, 0.501)
Li (0.502, 0.999, 0.506)
Li (0.880, 0.392, 0.069)
Mn (0.121, 0.066, 0.237)
Mn (0.121, 0.581, 0.723)
Mn (0.279, 0.314, 0.331)
Mn (0.282, 0.794, 0.850)
Mn (0.599, 0.588, 0.224)
Mn (0.613, 0.075, 0.732)
Mn (0.759, 0.318, 0.839)
Mn (0.769, 0.807, 0.341)
B (0.098, 0.657, 0.167)
B (0.106, 0.152, 0.664)
B (0.267, 0.241, 0.902)
B (0.275, 0.732, 0.398)
B (0.609, 0.656, 0.658)
B (0.612, 0.146, 0.167)
B (0.778, 0.239, 0.391)
B (0.787, 0.729, 0.901)
O (0.074, 0.355, 0.876)
O (0.082, 0.842, 0.367)
O (0.108, 0.792, 0.044)
O (0.110, 0.285, 0.538)
O (0.248, 0.105, 0.018)
O (0.260, 0.595, 0.512)
O (0.275, 0.540, 0.189)
O (0.282, 0.033, 0.683)
O (0.427, 0.636, 0.775)
O (0.430, 0.127, 0.288)
O (0.471, 0.270, 0.798)
O (0.479, 0.770, 0.294)
O (0.592, 0.353, 0.353)
O (0.593, 0.839, 0.869)
O (0.615, 0.795, 0.539)
O (0.629, 0.285, 0.050)
O (0.758, 0.107, 0.511)
O (0.782, 0.027, 0.177)
O (0.782, 0.537, 0.669)
O (0.782, 0.596, 0.022)
O (0.912, 0.634, 0.285)
O (0.922, 0.136, 0.784)
O (0.983, 0.268, 0.281)
O (0.991, 0.762, 0.795)